Simulated powder XRD pattern of Mn3RuO for Cu Kα, 1.54184 Å, from DFT lattice parameters and positions (GGA+U).
Peak positions follow from Bragg's law for the DFT cell and can differ from measured ones.

Structure:
Lattice parameters (Å, degrees): 4.2129 4.2129 4.2129 90.00 90.00 90.00
Space group Pm-3m (No. 221)
Unique sites:
1 Mn 0.0000 0.0000 0.5000 (multiplicity 3)
2 Ru 0.5000 0.5000 0.5000 (multiplicity 1)
3 O 0.0000 0.0000 0.0000 (multiplicity 1)

Most intense lines, 10 to 80 degrees two-theta, low angle first:
d_spacing  Rel. int.
4.213  4
2.979  17
2.432  100
2.106  61
1.884  2
1.720  6
1.489  37
1.332  3
1.270  34
1.216  12